No. 1
Computed powder XRD pattern of Nd3Er for a wavelength of 1.5418 Å, from a PBE-relaxed structure.
Lines closer than 0.1° are merged.

Top 10 peaks for 2θ = 10–90°, in order of rising 2θ:
d_spacing  I (rel.)
3.180  23
2.981  26
2.806  100
2.175  16
1.836  19
1.685  22
1.563  23
1.536  16
1.178  14
1.157  9

Crystal structure
a = 7.343 Å, b = 7.343 Å, c = 5.962 Å
α = 90.00°, β = 90.00°, γ = 120.00°
Sites, in units of the cell vectors:
Nd 0.168 0.337 0.250
Nd 0.168 0.832 0.250
Nd 0.337 0.168 0.750
Nd 0.663 0.832 0.250
Nd 0.832 0.168 0.750
Nd 0.832 0.663 0.750
Er 0.333 0.667 0.750
Er 0.667 0.333 0.250

=====

No. 2
Computed powder XRD pattern of Rb2NaPdF6 for a wavelength of 1.5418 Å, from a PBE-relaxed structure.
Lines closer than 0.1° are merged.

Top 10 peaks for 2θ = 10–90°, in order of rising 2θ:
d_spacing  I (rel.)
5.049  42
3.114  100
3.049  48
2.524  19
2.250  25
2.156  43
1.811  21
1.773  38
1.557  28
1.262  13

Crystal structure
a = 6.233 Å, b = 6.233 Å, c = 6.233 Å
α = 121.42°, β = 121.42°, γ = 87.56°
Sites, in units of the cell vectors:
Rb 0.250 0.750 0.500
Rb 0.750 0.250 0.500
Na 0.000 0.000 0.000
Pd 0.500 0.500 0.000
F 0.254 0.254 0.000
F 0.268 0.268 0.537
F 0.268 0.732 0.000
F 0.732 0.268 0.000
F 0.732 0.732 0.463
F 0.746 0.746 0.000

=====

No. 3
Computed powder XRD pattern of H2Pb4CCl6O4 for a wavelength of 1.5418 Å, from a PBE-relaxed structure.
Lines closer than 0.1° are merged.

Top 10 peaks for 2θ = 10–90°, in order of rising 2θ:
d_spacing  I (rel.)
4.224  43
4.079  100
3.564  19
3.104  20
3.075  18
2.508  23
2.490  26
2.328  22
2.312  18
2.130  22

Crystal structure
a = 4.261 Å, b = 9.313 Å, c = 16.906 Å
α = 90.00°, β = 92.03°, γ = 90.00°
Sites, in units of the cell vectors:
H 0.249 0.167 0.098
H 0.249 0.333 0.098
H 0.751 0.667 0.902
H 0.751 0.833 0.902
Pb 0.189 0.010 0.732
Pb 0.189 0.490 0.732
Pb 0.253 0.750 0.512
Pb 0.261 0.750 0.042
Pb 0.739 0.250 0.958
Pb 0.747 0.250 0.488
Pb 0.811 0.510 0.268
Pb 0.811 0.990 0.268
C 0.413 0.250 0.245
C 0.587 0.750 0.755
Cl 0.231 0.031 0.912
Cl 0.231 0.469 0.912
Cl 0.237 0.050 0.415
Cl 0.237 0.450 0.415
Cl 0.256 0.250 0.605
Cl 0.289 0.750 0.219
Cl 0.711 0.250 0.781
Cl 0.744 0.750 0.395
Cl 0.763 0.550 0.585
Cl 0.763 0.950 0.585
Cl 0.769 0.531 0.088
Cl 0.769 0.969 0.088
O 0.249 0.250 0.062
O 0.294 0.128 0.223
O 0.294 0.372 0.223
O 0.325 0.750 0.712
O 0.675 0.250 0.288
O 0.706 0.628 0.777
O 0.706 0.872 0.777
O 0.751 0.750 0.938

=====

No. 4
Computed powder XRD pattern of Ge7HO20 for a wavelength of 1.5418 Å, from a PBE-relaxed structure.
Lines closer than 0.1° are merged.

Top 10 peaks for 2θ = 10–90°, in order of rising 2θ:
d_spacing  I (rel.)
7.867  100
4.542  28
3.212  30
2.782  16
2.622  9
2.488  15
2.372  16
1.854  10
1.573  8
1.514  8

Crystal structure
a = 7.867 Å, b = 7.867 Å, c = 7.867 Å
α = 90.00°, β = 90.00°, γ = 90.00°
Sites, in units of the cell vectors:
Ge 0.000 0.000 0.500
Ge 0.000 0.500 0.000
Ge 0.156 0.156 0.844
Ge 0.156 0.844 0.156
Ge 0.500 0.000 0.000
Ge 0.844 0.156 0.156
Ge 0.844 0.844 0.844
H 0.000 0.000 0.000
O 0.110 0.110 0.110
O 0.110 0.890 0.890
O 0.134 0.134 0.618
O 0.134 0.382 0.866
O 0.134 0.618 0.134
O 0.134 0.866 0.382
O 0.305 0.305 0.305
O 0.305 0.695 0.695
O 0.382 0.134 0.866
O 0.382 0.866 0.134
O 0.618 0.134 0.134
O 0.618 0.866 0.866
O 0.695 0.305 0.695
O 0.695 0.695 0.305
O 0.866 0.134 0.382
O 0.866 0.382 0.134
O 0.866 0.618 0.866
O 0.866 0.866 0.618
O 0.890 0.110 0.890
O 0.890 0.890 0.110

=====

No. 5
Computed powder XRD pattern of Pr3Au for a wavelength of 1.5418 Å, from a PBE-relaxed structure.
Lines closer than 0.1° are merged.

Top 10 peaks for 2θ = 10–90°, in order of rising 2θ:
d_spacing  I (rel.)
2.824  100
2.631  20
2.367  30
1.760  25
1.674  11
1.554  17
1.440  26
1.412  12
1.150  6
1.139  12

Crystal structure
a = 4.734 Å, b = 4.734 Å, c = 10.523 Å
α = 90.00°, β = 90.00°, γ = 90.00°
Sites, in units of the cell vectors:
Pr 0.000 0.000 0.000
Pr 0.000 0.500 0.250
Pr 0.000 0.500 0.750
Pr 0.500 0.000 0.250
Pr 0.500 0.000 0.750
Pr 0.500 0.500 0.500
Au 0.000 0.000 0.500
Au 0.500 0.500 0.000

=====

No. 6
Computed powder XRD pattern of HgH4C4N2Cl4 for a wavelength of 1.5418 Å, from a PBE-relaxed structure.
Lines closer than 0.1° are merged.

Top 10 peaks for 2θ = 10–90°, in order of rising 2θ:
d_spacing  I (rel.)
7.547  18
6.211  100
4.894  38
4.161  20
4.027  20
3.750  20
3.659  17
3.628  17
3.420  25
2.419  22

Crystal structure
a = 8.654 Å, b = 11.871 Å, c = 16.643 Å
α = 90.00°, β = 119.30°, γ = 90.00°
Sites, in units of the cell vectors:
Hg 0.080 0.155 0.403
Hg 0.080 0.345 0.903
Hg 0.920 0.655 0.097
Hg 0.920 0.845 0.597
H 0.144 0.693 0.491
H 0.144 0.807 0.991
H 0.429 0.736 0.419
H 0.429 0.764 0.919
H 0.445 0.034 0.606
H 0.445 0.466 0.106
H 0.449 0.189 0.341
H 0.449 0.311 0.841
H 0.551 0.689 0.159
H 0.551 0.811 0.659
H 0.555 0.534 0.894
H 0.555 0.966 0.394
H 0.571 0.236 0.081
H 0.571 0.264 0.581
H 0.856 0.193 0.009
H 0.856 0.307 0.509
C 0.045 0.650 0.340
C 0.045 0.850 0.840
C 0.173 0.558 0.402
C 0.173 0.942 0.902
C 0.352 0.503 0.209
C 0.352 0.997 0.709
C 0.445 0.504 0.740
C 0.445 0.996 0.240
C 0.555 0.004 0.760
C 0.555 0.496 0.260
C 0.648 0.003 0.291
C 0.648 0.497 0.791
C 0.827 0.058 0.098
C 0.827 0.442 0.598
C 0.955 0.150 0.160
C 0.955 0.350 0.660
N 0.128 0.651 0.432
N 0.128 0.849 0.932
N 0.451 0.020 0.669
N 0.451 0.480 0.169
N 0.549 0.520 0.831
N 0.549 0.980 0.331
N 0.872 0.151 0.068
N 0.872 0.349 0.568
Cl 0.092 0.688 0.617
Cl 0.092 0.812 0.117
Cl 0.274 0.004 0.448
Cl 0.274 0.496 0.948
Cl 0.417 0.217 0.869
Cl 0.417 0.283 0.369
Cl 0.448 0.210 0.100
Cl 0.448 0.290 0.600
Cl 0.552 0.710 0.400
Cl 0.552 0.790 0.900
Cl 0.583 0.717 0.631
Cl 0.583 0.783 0.131
Cl 0.726 0.504 0.052
Cl 0.726 0.996 0.552
Cl 0.908 0.188 0.883
Cl 0.908 0.312 0.383

=====

No. 7
Computed powder XRD pattern of ErBiO3 for a wavelength of 1.5418 Å, from a PBE-relaxed structure.
Lines closer than 0.1° are merged.

Top 10 peaks for 2θ = 10–90°, in order of rising 2θ:
d_spacing  I (rel.)
4.277  17
3.056  91
2.993  100
2.138  40
1.929  30
1.740  41
1.728  27
1.496  14
1.344  16
1.131  12

Crystal structure
a = 6.115 Å, b = 6.115 Å, c = 6.115 Å
α = 58.60°, β = 58.60°, γ = 58.60°
Sites, in units of the cell vectors:
Er 0.142 0.142 0.142
Er 0.858 0.858 0.858
Bi 0.357 0.357 0.357
Bi 0.643 0.643 0.643
O 0.012 0.455 0.783
O 0.217 0.988 0.545
O 0.455 0.783 0.012
O 0.545 0.217 0.988
O 0.783 0.012 0.455
O 0.988 0.545 0.217

=====

No. 8
Computed powder XRD pattern of PaCdPt2 for a wavelength of 1.5418 Å, from a PBE-relaxed structure.
Lines closer than 0.1° are merged.

Top 9 peaks for 2θ = 10–90°, in order of rising 2θ:
d_spacing  I (rel.)
3.969  5
2.431  100
2.073  3
1.719  18
1.577  1
1.403  36
1.323  1
1.215  11
1.162  1

Crystal structure
a = 6.875 Å, b = 6.875 Å, c = 6.875 Å
α = 90.00°, β = 90.00°, γ = 90.00°
Sites, in units of the cell vectors:
Pa 0.000 0.000 0.000
Pa 0.000 0.500 0.500
Pa 0.500 0.000 0.500
Pa 0.500 0.500 0.000
Cd 0.000 0.000 0.500
Cd 0.000 0.500 0.000
Cd 0.500 0.000 0.000
Cd 0.500 0.500 0.500
Pt 0.250 0.250 0.250
Pt 0.250 0.250 0.750
Pt 0.250 0.750 0.250
Pt 0.250 0.750 0.750
Pt 0.750 0.250 0.250
Pt 0.750 0.250 0.750
Pt 0.750 0.750 0.250
Pt 0.750 0.750 0.750